CaCuF4: calculated X-ray diffraction stick pattern (Cu Kα (weighted mean of Kα1 and Kα2)), based on the PBE geometry in Alexandria.

Crystal structure
a b c (Å): 5.4811 5.4811 10.3959
angles (deg): 90.00 90.00 90.00
Space group I4/mcm (No. 140)
Inequivalent atoms, fractional coordinates:
Ca  0.0000  0.0000  0.2500 [4 per cell]
Cu  0.0000  0.5000  0.0000 [4 per cell]
F  0.1775  0.3225  0.1286 [16 per cell]

Main lines, by angle (5 to 70 degrees two-theta):
2θ = 22.95°, d 3.876, intensity 12, hkl 1 1 0
2θ = 28.73°, d 3.107, intensity 100, hkl 1 1 2
2θ = 32.68°, d 2.741, intensity 11, hkl 2 0 0
2θ = 37.08°, d 2.424, intensity 4, hkl 2 0 2
2θ = 37.70°, d 2.386, intensity 11, hkl 2 1 1
2θ = 45.32°, d 2.001, intensity 7, hkl 2 1 3
2θ = 46.88°, d 1.938, intensity 19, hkl 2 2 0
2θ = 48.26°, d 1.886, intensity 44, hkl 2 0 4
2θ = 55.92°, d 1.644, intensity 28, hkl 3 1 2
2θ = 58.34°, d 1.582, intensity 12, hkl 1 1 6
2θ = 59.50°, d 1.554, intensity 7, hkl 2 2 4
2θ = 64.64°, d 1.442, intensity 5, hkl 3 1 4